(1)
Theoretical powder XRD pattern of In14Ga3Pt2O8F15 for λ = 1.5418 Å (Cu Kα), from a structure optimized by DFT (GGA-PBE).
No peak broadening, texture or thermal motion is included.

Crystal structure
Unit cell a=16.0568 b=16.0568 c=16.0568 alpha=26.02 beta=26.02 gamma=26.02
Fractional coordinates of all 42 atoms:
1 In 0.0913 0.6091 0.5869
2 In 0.1496 0.1496 0.1496
3 In 0.1933 0.1939 0.7020
4 In 0.1939 0.7020 0.1933
5 In 0.2980 0.8067 0.8061
6 In 0.3909 0.4131 0.9087
7 In 0.4131 0.9087 0.3909
8 In 0.5869 0.0913 0.6091
9 In 0.6091 0.5869 0.0913
10 In 0.7020 0.1933 0.1939
11 In 0.8061 0.2980 0.8067
12 In 0.8067 0.8061 0.2980
13 In 0.8504 0.8504 0.8504
14 In 0.9087 0.3909 0.4131
15 Ga 0.3002 0.3002 0.3002
16 Ga 0.5000 0.5000 0.5000
17 Ga 0.6998 0.6998 0.6998
18 Pt 0.3964 0.3964 0.3964
19 Pt 0.6036 0.6036 0.6036
20 O 0.1726 0.1727 0.5969
21 O 0.1727 0.5969 0.1726
22 O 0.2594 0.2594 0.2594
23 O 0.4031 0.8274 0.8273
24 O 0.5969 0.1726 0.1727
25 O 0.7406 0.7406 0.7406
26 O 0.8273 0.4031 0.8274
27 O 0.8274 0.8273 0.4031
28 F 0.0000 0.0000 0.0000
29 F 0.0460 0.5438 0.0697
30 F 0.0541 0.0541 0.0541
31 F 0.0697 0.0460 0.5438
32 F 0.2256 0.6325 0.5714
33 F 0.3675 0.4286 0.7744
34 F 0.4286 0.7744 0.3675
35 F 0.4562 0.9303 0.9540
36 F 0.5438 0.0697 0.0460
37 F 0.5714 0.2256 0.6325
38 F 0.6325 0.5714 0.2256
39 F 0.7744 0.3675 0.4286
40 F 0.9303 0.9540 0.4562
41 F 0.9459 0.9459 0.9459
42 F 0.9540 0.4562 0.9303

The 10 most intense peaks (2θ = 10–90°), in order of falling intensity:
Position (°2θ)  I_rel
30.15  100
50.50  51
48.78  49
34.54  47
17.07  45
38.22  42
29.55  25
25.42  25
14.28  23
28.78  21

---

(2)
Theoretical powder XRD pattern of Cd2TeSe for λ = 1.5418 Å (Cu Kα), from a structure optimized by DFT (GGA-PBE).
No peak broadening, texture or thermal motion is included.

Crystal structure
Unit cell a=4.5446 b=4.5446 c=6.3938 alpha=90.00 beta=90.00 gamma=90.00
Fractional coordinates of all 4 atoms:
1 Cd 0.0000 0.5000 0.2334
2 Cd 0.5000 0.0000 0.7666
3 Te 0.0000 0.0000 0.5000
4 Se 0.5000 0.5000 0.0000

The 10 most intense peaks (2θ = 10–90°), in order of falling intensity:
Position (°2θ)  I_rel
24.02  100
39.77  51
46.91  32
39.66  26
72.05  17
47.10  15
63.22  12
57.34  9
72.27  8
77.13  7

---

(3)
Theoretical powder XRD pattern of Na2HgAsBr6 for λ = 1.5418 Å (Cu Kα), from a structure optimized by DFT (GGA-PBE).
No peak broadening, texture or thermal motion is included.

Crystal structure
Unit cell a=7.8684 b=7.8684 c=7.8684 alpha=60.00 beta=60.00 gamma=60.00
Fractional coordinates of all 10 atoms:
1 Na 0.2500 0.2500 0.2500
2 Na 0.7500 0.7500 0.7500
3 Hg 0.0000 0.0000 0.0000
4 As 0.5000 0.5000 0.5000
5 Br 0.2602 0.2602 0.7398
6 Br 0.2602 0.7398 0.2602
7 Br 0.2602 0.7398 0.7398
8 Br 0.7398 0.2602 0.2602
9 Br 0.7398 0.2602 0.7398
10 Br 0.7398 0.7398 0.2602

The 10 most intense peaks (2θ = 10–90°), in order of falling intensity:
Position (°2θ)  I_rel
15.93  100
32.18  78
46.15  56
36.10  52
49.12  27
76.58  24
57.37  19
85.50  18
27.77  16
69.68  15

---

(4)
Theoretical powder XRD pattern of DyBO3 for λ = 1.5418 Å (Cu Kα), from a structure optimized by DFT (GGA-PBE).
No peak broadening, texture or thermal motion is included.

Crystal structure
Unit cell a=6.1890 b=6.3931 c=6.4104 alpha=92.57 beta=107.14 gamma=107.13
Fractional coordinates of all 20 atoms:
1 Dy 0.0453 0.2683 0.3327
2 Dy 0.4435 0.8185 0.2236
3 Dy 0.5565 0.1815 0.7764
4 Dy 0.9547 0.7317 0.6673
5 B 0.0185 0.2379 0.7819
6 B 0.4781 0.2784 0.2638
7 B 0.5219 0.7216 0.7362
8 B 0.9815 0.7621 0.2181
9 O 0.0463 0.7768 0.0317
10 O 0.0892 0.6445 0.3727
11 O 0.1539 0.1254 0.7178
12 O 0.3688 0.1289 0.3862
13 O 0.3858 0.7950 0.8418
14 O 0.4250 0.4697 0.2502
15 O 0.5750 0.5303 0.7498
16 O 0.6142 0.2050 0.1582
17 O 0.6312 0.8711 0.6138
18 O 0.8461 0.8746 0.2822
19 O 0.9108 0.3555 0.6273
20 O 0.9537 0.2232 0.9683

The 10 most intense peaks (2θ = 10–90°), in order of falling intensity:
Position (°2θ)  I_rel
24.95  100
29.51  76
21.08  64
31.97  34
35.99  27
31.05  25
53.34  19
30.56  18
48.71  17
51.72  16

---

(5)
Theoretical powder XRD pattern of Mg6NbH16 for λ = 1.5418 Å (Cu Kα), from a structure optimized by DFT (GGA-PBE).
No peak broadening, texture or thermal motion is included.

Crystal structure
Unit cell a=6.7313 b=6.7313 c=6.7313 alpha=60.00 beta=60.00 gamma=60.00
Fractional coordinates of all 23 atoms:
1 Mg 0.0000 0.0000 0.5000
2 Mg 0.0000 0.5000 0.0000
3 Mg 0.0000 0.5000 0.5000
4 Mg 0.5000 0.0000 0.0000
5 Mg 0.5000 0.0000 0.5000
6 Mg 0.5000 0.5000 0.0000
7 Nb 0.0000 0.0000 0.0000
8 H 0.0711 0.6430 0.6430
9 H 0.1155 0.1155 0.1155
10 H 0.1155 0.1155 0.6535
11 H 0.1155 0.6535 0.1155
12 H 0.3465 0.8845 0.8845
13 H 0.3570 0.3570 0.3570
14 H 0.3570 0.3570 0.9289
15 H 0.3570 0.9289 0.3570
16 H 0.6430 0.0711 0.6430
17 H 0.6430 0.6430 0.0711
18 H 0.6430 0.6430 0.6430
19 H 0.6535 0.1155 0.1155
20 H 0.8845 0.3465 0.8845
21 H 0.8845 0.8845 0.3465
22 H 0.8845 0.8845 0.8845
23 H 0.9289 0.3570 0.3570

The 10 most intense peaks (2θ = 10–90°), in order of falling intensity:
Position (°2θ)  I_rel
32.58  100
16.13  90
31.16  50
37.80  42
64.98  38
54.53  36
41.34  21
57.25  17
49.77  17
89.82  15

---

(6)
Theoretical powder XRD pattern of Lu10Ni28As19 for λ = 1.5418 Å (Cu Kα), from a structure optimized by DFT (GGA-PBE).
No peak broadening, texture or thermal motion is included.

Crystal structure
Unit cell a=16.0147 b=16.0147 c=3.8431 alpha=90.00 beta=90.00 gamma=120.00
Fractional coordinates of all 57 atoms:
1 Lu 0.0000 0.0000 0.0000
2 Lu 0.1978 0.6767 0.0000
3 Lu 0.3233 0.5211 0.0000
4 Lu 0.3642 0.0651 0.5000
5 Lu 0.4789 0.8022 0.0000
6 Lu 0.5352 0.3545 0.5000
7 Lu 0.6455 0.1807 0.5000
8 Lu 0.7008 0.6358 0.5000
9 Lu 0.8193 0.4648 0.5000
10 Lu 0.9349 0.2992 0.5000
11 Ni 0.0409 0.5300 0.5000
12 Ni 0.0421 0.1734 0.5000
13 Ni 0.0546 0.8021 0.0000
14 Ni 0.0948 0.4398 0.0000
15 Ni 0.1313 0.9579 0.5000
16 Ni 0.1579 0.3666 0.5000
17 Ni 0.1979 0.2525 0.0000
18 Ni 0.2086 0.8421 0.5000
19 Ni 0.2254 0.0927 0.0000
20 Ni 0.3119 0.2336 0.5000
21 Ni 0.3333 0.6667 0.5000
22 Ni 0.3450 0.9052 0.0000
23 Ni 0.3896 0.3696 0.0000
24 Ni 0.4700 0.5108 0.5000
25 Ni 0.4892 0.9591 0.5000
26 Ni 0.5176 0.1988 0.0000
27 Ni 0.5602 0.6550 0.0000
28 Ni 0.6304 0.0201 0.0000
29 Ni 0.6334 0.7914 0.5000
30 Ni 0.6812 0.4824 0.0000
31 Ni 0.7475 0.9454 0.0000
32 Ni 0.7664 0.0783 0.5000
33 Ni 0.8012 0.3188 0.0000
34 Ni 0.8266 0.8687 0.5000
35 Ni 0.8672 0.7746 0.0000
36 Ni 0.9073 0.1328 0.0000
37 Ni 0.9217 0.6881 0.5000
38 Ni 0.9799 0.6104 0.0000
39 As 0.0619 0.2771 0.0000
40 As 0.0703 0.6919 0.5000
41 As 0.1506 0.1165 0.5000
42 As 0.1865 0.5281 0.5000
43 As 0.2153 0.9381 0.0000
44 As 0.3081 0.3784 0.5000
45 As 0.3417 0.8135 0.5000
46 As 0.3904 0.2208 0.0000
47 As 0.4719 0.6583 0.5000
48 As 0.4983 0.0498 0.0000
49 As 0.5515 0.5017 0.0000
50 As 0.6216 0.9297 0.5000
51 As 0.6667 0.3333 0.0000
52 As 0.7229 0.7847 0.0000
53 As 0.7792 0.1696 0.0000
54 As 0.8304 0.6096 0.0000
55 As 0.8835 0.0341 0.5000
56 As 0.9502 0.4485 0.0000
57 As 0.9659 0.8494 0.5000

The 10 most intense peaks (2θ = 10–90°), in order of falling intensity:
Position (°2θ)  I_rel
36.67  100
49.63  28
47.30  27
32.95  21
70.98  20
57.14  13
37.84  12
80.89  10
45.80  9
38.96  8

---

Repeat the fifth record exactly.
Theoretical powder XRD pattern of Mg6NbH16 for λ = 1.5418 Å (Cu Kα), from a structure optimized by DFT (GGA-PBE).
No peak broadening, texture or thermal motion is included.

Crystal structure
Unit cell a=6.7313 b=6.7313 c=6.7313 alpha=60.00 beta=60.00 gamma=60.00
Fractional coordinates of all 23 atoms:
1 Mg 0.0000 0.0000 0.5000
2 Mg 0.0000 0.5000 0.0000
3 Mg 0.0000 0.5000 0.5000
4 Mg 0.5000 0.0000 0.0000
5 Mg 0.5000 0.0000 0.5000
6 Mg 0.5000 0.5000 0.0000
7 Nb 0.0000 0.0000 0.0000
8 H 0.0711 0.6430 0.6430
9 H 0.1155 0.1155 0.1155
10 H 0.1155 0.1155 0.6535
11 H 0.1155 0.6535 0.1155
12 H 0.3465 0.8845 0.8845
13 H 0.3570 0.3570 0.3570
14 H 0.3570 0.3570 0.9289
15 H 0.3570 0.9289 0.3570
16 H 0.6430 0.0711 0.6430
17 H 0.6430 0.6430 0.0711
18 H 0.6430 0.6430 0.6430
19 H 0.6535 0.1155 0.1155
20 H 0.8845 0.3465 0.8845
21 H 0.8845 0.8845 0.3465
22 H 0.8845 0.8845 0.8845
23 H 0.9289 0.3570 0.3570

The 10 most intense peaks (2θ = 10–90°), in order of falling intensity:
Position (°2θ)  I_rel
32.58  100
16.13  90
31.16  50
37.80  42
64.98  38
54.53  36
41.34  21
57.25  17
49.77  17
89.82  15

---

> Which formula does entry 1 have?

In14Ga3Pt2O8F15